Starting from a PBE-relaxed structure, the powder diffraction line list of ErTm12Sc2 was simulated for Cu Kα (weighted mean of Kα1 and Kα2).
Lines closer than 0.1° are merged.

Peak list (10 most intense, 10° ≤ 2θ ≤ 90°, low angle first)
Position (°2θ), I (rel.), (hkl)
30.36, 100, 0 0 8
31.33, 65, 0 1 7
33.17, 89, 1 1 -4
33.36, 81, 0 2 0
34.70, 37, 0 1 8
34.91, 70, 1 1 4
35.49, 22, 1 0 6
38.34, 24, 1 0 -8
51.82, 34, 2 0 -1
63.06, 26, 2 2 -1

```
data_ErTm12Sc2
_chemical_formula_sum 'Er1 Tm12 Sc2'
_symmetry_space_group_name_H-M 'P 1 2/m 1'
_symmetry_Int_Tables_number 10
_cell_length_a 3.527
_cell_length_b 5.372
_cell_length_c 23.653
_cell_angle_alpha 90.00
_cell_angle_beta 94.14
_cell_angle_gamma 90.00
loop_
_symmetry_equiv_pos_as_xyz
'x,y,z'
'-x,-y,-z'
'-x,y,-z'
'x,-y,z'
loop_
_atom_site_label
_atom_site_fract_x
_atom_site_fract_y
_atom_site_fract_z
_atom_site_occupancy
Er1 0.000 0.000 0.000 1
Tm1 0.082 0.000 0.150 1
Tm2 0.167 0.500 0.325 1
Tm3 0.214 0.000 0.420 1
Tm4 0.275 0.500 0.556 1
Tm5 0.390 0.500 0.795 1
Tm6 0.464 0.500 0.930 1
Sc1 0.352 0.000 0.715 1
```

Starting from a PBE-relaxed structure, the powder diffraction line list of ErTmSc was simulated for Cu Kα (weighted mean of Kα1 and Kα2).
Lines closer than 0.1° are merged.

Peak list (10 most intense, 10° ≤ 2θ ≤ 90°, low angle first)
Position (°2θ), I (rel.), (hkl)
12.30, 17, 0 0 2
26.70, 19, 1 0 1
32.06, 100, 1 0 3
37.03, 34, 1 1 0
37.50, 16, 0 0 6
53.38, 12, 2 0 0
53.73, 23, 1 1 6
63.64, 28, 2 1 3
64.27, 13, 1 0 9
67.05, 12, 2 0 6

```
data_ErTmSc
_chemical_formula_sum 'Er2 Tm2 Sc2'
_symmetry_space_group_name_H-M 'I 4 m m'
_symmetry_Int_Tables_number 107
_symmetry_space_group_name_Hall 'I 4 -2'
_cell_length_a 3.433
_cell_length_b 3.433
_cell_length_c 14.390
_cell_angle_alpha 90.00
_cell_angle_beta 90.00
_cell_angle_gamma 90.00
loop_
_atom_site_label
_atom_site_fract_x
_atom_site_fract_y
_atom_site_fract_z
_atom_site_occupancy
Er1 0.000 0.000 0.000 1
Tm1 0.000 0.000 0.675 1
Sc1 0.000 0.000 0.338 1
```

Starting from a PBE-relaxed structure, the powder diffraction line list of ErTm2Sc9 was simulated for Cu Kα (weighted mean of Kα1 and Kα2).
Lines closer than 0.1° are merged.

Peak list (10 most intense, 10° ≤ 2θ ≤ 90°, low angle first)
Position (°2θ), I (rel.), (hkl)
18.91, 47, 1 0 0
26.86, 41, 1 1 0
33.06, 100, 1 1 3
38.35, 49, 2 0 0
43.09, 24, 2 1 0
47.45, 19, 2 1 3
55.36, 33, 2 2 0
59.04, 12, 3 0 0
66.01, 38, 3 1 3
69.36, 11, 2 2 6

```
data_ErTm2Sc9
_chemical_formula_sum 'Er1 Tm2 Sc9'
_symmetry_space_group_name_H-M 'P 4/m m m'
_symmetry_Int_Tables_number 123
_symmetry_space_group_name_Hall '-P 4 2'
_cell_length_a 4.693
_cell_length_b 4.693
_cell_length_c 14.083
_cell_angle_alpha 90.00
_cell_angle_beta 90.00
_cell_angle_gamma 90.00
loop_
_atom_site_label
_atom_site_fract_x
_atom_site_fract_y
_atom_site_fract_z
_atom_site_occupancy
Er1 0.000 0.000 0.000 1
Tm1 0.000 0.000 0.333 1
Sc1 0.000 0.500 0.167 1
Sc2 0.000 0.500 0.500 1
Sc3 0.500 0.500 0.000 1
Sc4 0.500 0.500 0.333 1
```

Starting from a PBE-relaxed structure, the powder diffraction line list of ErTm3Sc was simulated for Cu Kα (weighted mean of Kα1 and Kα2).
Lines closer than 0.1° are merged.

Peak list (10 most intense, 10° ≤ 2θ ≤ 90°, low angle first)
Position (°2θ), I (rel.), (hkl)
29.36, 24, -1 1 2
32.73, 24, 0 2 -2
33.71, 100, 1 -1 3
44.54, 15, 1 1 -4
52.07, 19, 3 -1 2
59.05, 20, 1 -3 5
62.88, 22, 3 1 0
63.48, 16, -2 1 5
82.57, 5, 2 1 -7
86.49, 9, 1 0 7

```
data_ErTm3Sc
_chemical_formula_sum 'Er2 Tm6 Sc2'
_symmetry_space_group_name_H-M 'P -1'
_symmetry_Int_Tables_number 2
_cell_length_a 6.080
_cell_length_b 6.501
_cell_length_c 8.910
_cell_angle_alpha 107.66
_cell_angle_beta 90.03
_cell_angle_gamma 117.88
loop_
_symmetry_equiv_pos_as_xyz
'x,y,z'
'-x,-y,-z'
loop_
_atom_site_label
_atom_site_fract_x
_atom_site_fract_y
_atom_site_fract_z
_atom_site_occupancy
Er1 0.032 0.404 0.153 1
Tm1 0.167 0.005 0.253 1
Tm2 0.234 0.800 0.549 1
Tm3 0.434 0.202 0.948 1
Sc1 0.368 0.402 0.647 1
```

Starting from a PBE-relaxed structure, the powder diffraction line list of Er3Tm8Sc2 was simulated for Cu Kα (weighted mean of Kα1 and Kα2).
Lines closer than 0.1° are merged.

Peak list (10 most intense, 10° ≤ 2θ ≤ 90°, low angle first)
Position (°2θ), I (rel.), (hkl)
18.34, 11, 0 4 0
25.41, 14, 2 2 0
28.79, 17, 2 0 1
30.27, 16, 2 2 1
30.68, 36, 1 5 1
32.21, 25, 0 6 1
32.67, 45, 0 0 2
34.35, 100, 2 4 1
59.38, 26, 2 4 3
69.16, 12, 5 5 1

```
data_Er3Tm8Sc2
_chemical_formula_sum 'Er6 Tm16 Sc4'
_symmetry_space_group_name_H-M 'C m m m'
_symmetry_Int_Tables_number 65
_symmetry_space_group_name_Hall '-C 2 2'
_cell_length_a 7.521
_cell_length_b 19.345
_cell_length_c 5.482
_cell_angle_alpha 90.00
_cell_angle_beta 90.00
_cell_angle_gamma 90.00
loop_
_atom_site_label
_atom_site_fract_x
_atom_site_fract_y
_atom_site_fract_z
_atom_site_occupancy
Er1 0.000 0.000 0.000 1
Er2 0.215 0.500 0.500 1
Tm1 0.000 0.135 0.500 1
Tm2 0.000 0.325 0.500 1
Tm3 0.211 0.388 0.000 1
Sc1 0.000 0.241 0.000 1
```

Starting from a PBE-relaxed structure, the powder diffraction line list of Er5TmSc was simulated for Cu Kα (weighted mean of Kα1 and Kα2).
Lines closer than 0.1° are merged.

Peak list (10 most intense, 10° ≤ 2θ ≤ 90°, low angle first)
Position (°2θ), I (rel.), (hkl)
15.26, 5, 0 1 0
31.59, 100, 1 1 1
36.63, 50, 2 1 -1
52.77, 36, 3 0 1
62.82, 42, 3 2 0
65.96, 12, 2 2 2
77.86, 4, 2 -2 4
86.46, 16, 4 1 2
89.27, 13, 1 0 5
89.34, 4, 5 1 0

```
data_Er5TmSc
_chemical_formula_sum 'Er5 Tm1 Sc1'
_symmetry_space_group_name_H-M 'P 1'
_symmetry_Int_Tables_number 1
_cell_length_a 6.006
_cell_length_b 6.009
_cell_length_c 6.012
_cell_angle_alpha 99.58
_cell_angle_beta 99.59
_cell_angle_gamma 99.62
loop_
_symmetry_equiv_pos_as_xyz
'x,y,z'
loop_
_atom_site_label
_atom_site_fract_x
_atom_site_fract_y
_atom_site_fract_z
_atom_site_occupancy
Er1 0.000 0.000 0.000 1
Er2 0.140 0.288 0.572 1
Er3 0.287 0.575 0.147 1
Er4 0.428 0.860 0.712 1
Er5 0.715 0.435 0.859 1
Tm1 0.575 0.147 0.287 1
Sc1 0.857 0.717 0.429 1
```

Starting from a PBE-relaxed structure, the powder diffraction line list of Y2ErTm6Sc3 was simulated for Cu Kα (weighted mean of Kα1 and Kα2).
Lines closer than 0.1° are merged.

Peak list (10 most intense, 10° ≤ 2θ ≤ 90°, low angle first)
Position (°2θ), I (rel.), (hkl)
15.79, 20, 0 0 2
30.34, 14, 2 0 0
31.74, 100, 1 3 1
31.90, 32, 0 0 4
36.86, 66, 2 0 2
53.01, 23, 0 6 0
53.22, 22, 1 3 5
63.12, 14, 4 0 0
63.21, 26, 3 3 3
63.40, 12, 2 0 6

```
data_Y2ErTm6Sc3
_chemical_formula_sum 'Y4 Er2 Tm12 Sc6'
_symmetry_space_group_name_H-M 'C 1 2/m 1'
_symmetry_Int_Tables_number 12
_cell_length_a 5.987
_cell_length_b 10.361
_cell_length_c 11.397
_cell_angle_alpha 90.00
_cell_angle_beta 100.06
_cell_angle_gamma 90.00
loop_
_symmetry_equiv_pos_as_xyz
'x,y,z'
'-x,-y,-z'
'-x,y,-z'
'x,-y,z'
'x+1/2,y+1/2,z'
'-x+1/2,-y+1/2,-z'
'-x+1/2,y+1/2,-z'
'x+1/2,-y+1/2,z'
loop_
_atom_site_label
_atom_site_fract_x
_atom_site_fract_y
_atom_site_fract_z
_atom_site_occupancy
Y1 0.000 0.167 0.000 1
Er1 0.000 0.500 0.000 1
Tm1 0.246 0.500 0.741 1
Tm2 0.247 0.166 0.741 1
Sc1 0.000 0.000 0.500 1
Sc2 0.000 0.333 0.500 1
```

Starting from a PBE-relaxed structure, the powder diffraction line list of YErTm2Sc5 was simulated for Cu Kα (weighted mean of Kα1 and Kα2).
Lines closer than 0.1° are merged.

Peak list (10 most intense, 10° ≤ 2θ ≤ 90°, low angle first)
Position (°2θ), I (rel.), (hkl)
19.26, 14, 0 4 0
23.79, 27, 1 3 1
24.59, 26, 1 1 2
27.74, 16, 0 2 3
31.43, 27, 1 1 3
33.82, 36, 2 0 0
34.37, 100, 1 5 2
39.21, 12, 2 4 0
45.14, 12, 0 2 5
60.85, 18, 3 5 2

```
data_YErTm2Sc5
_chemical_formula_sum 'Y4 Er4 Tm8 Sc20'
_symmetry_space_group_name_H-M 'C m c 21'
_symmetry_Int_Tables_number 36
_cell_length_a 5.301
_cell_length_b 18.438
_cell_length_c 10.295
_cell_angle_alpha 90.00
_cell_angle_beta 90.00
_cell_angle_gamma 90.00
loop_
_symmetry_equiv_pos_as_xyz
'x,y,z'
'-x,-y,z+1/2'
'-x,y,z'
'x,-y,z+1/2'
'x+1/2,y+1/2,z'
'-x+1/2,-y+1/2,z+1/2'
'-x+1/2,y+1/2,z'
'x+1/2,-y+1/2,z+1/2'
loop_
_atom_site_label
_atom_site_fract_x
_atom_site_fract_y
_atom_site_fract_z
_atom_site_occupancy
Y1 0.000 0.208 0.000 1
Er1 0.000 0.417 0.448 1
Tm1 0.000 0.107 0.722 1
Tm2 0.000 0.113 0.314 1
Sc1 0.000 0.022 0.022 1
Sc2 0.000 0.287 0.289 1
Sc3 0.000 0.299 0.701 1
Sc4 0.000 0.399 0.013 1
Sc5 0.000 0.478 0.724 1
```

Starting from a PBE-relaxed structure, the powder diffraction line list of YErTmSc3 was simulated for Cu Kα (weighted mean of Kα1 and Kα2).
Lines closer than 0.1° are merged.

Peak list (10 most intense, 10° ≤ 2θ ≤ 90°, low angle first)
Position (°2θ), I (rel.), (hkl)
11.18, 50, 0 0 1
15.16, 27, 2 0 -1
20.91, 22, 1 1 -1
26.67, 18, 3 1 1
32.15, 72, 3 1 -2
33.12, 33, 6 0 0
33.56, 100, 3 1 2
33.87, 34, 5 1 -1
34.31, 54, 0 2 0
48.43, 22, 6 2 0

```
data_YErTmSc3
_chemical_formula_sum 'Y4 Er4 Tm4 Sc12'
_symmetry_space_group_name_H-M 'C 1 2/m 1'
_symmetry_Int_Tables_number 12
_cell_length_a 16.259
_cell_length_b 5.228
_cell_length_c 7.928
_cell_angle_alpha 90.00
_cell_angle_beta 93.45
_cell_angle_gamma 90.00
loop_
_symmetry_equiv_pos_as_xyz
'x,y,z'
'-x,-y,-z'
'-x,y,-z'
'x,-y,z'
'x+1/2,y+1/2,z'
'-x+1/2,-y+1/2,-z'
'-x+1/2,y+1/2,-z'
'x+1/2,-y+1/2,z'
loop_
_atom_site_label
_atom_site_fract_x
_atom_site_fract_y
_atom_site_fract_z
_atom_site_occupancy
Y1 0.093 0.000 0.082 1
Er1 0.223 0.000 0.404 1
Tm1 0.081 0.500 0.378 1
Sc1 0.063 0.000 0.651 1
Sc2 0.112 0.500 0.829 1
Sc3 0.248 0.000 0.852 1
```

Starting from a PBE-relaxed structure, the powder diffraction line list of Y4Er15Sc was simulated for Cu Kα (weighted mean of Kα1 and Kα2).
Lines closer than 0.1° are merged.

Peak list (10 most intense, 10° ≤ 2θ ≤ 90°, low angle first)
Position (°2θ), I (rel.), (hkl)
17.88, 6, 1 0 0
25.39, 5, 1 1 0
31.23, 100, 1 1 5
36.21, 50, 2 0 0
52.15, 35, 2 2 0
62.05, 41, 3 1 5
65.14, 12, 2 2 10
85.28, 17, 3 3 5
87.99, 6, 4 2 0
88.03, 5, 4 0 10

```
data_Y4Er15Sc
_chemical_formula_sum 'Y4 Er15 Sc1'
_symmetry_space_group_name_H-M 'P 4/m m m'
_symmetry_Int_Tables_number 123
_symmetry_space_group_name_Hall '-P 4 2'
_cell_length_a 4.963
_cell_length_b 4.963
_cell_length_c 24.779
_cell_angle_alpha 90.00
_cell_angle_beta 90.00
_cell_angle_gamma 90.00
loop_
_atom_site_label
_atom_site_fract_x
_atom_site_fract_y
_atom_site_fract_z
_atom_site_occupancy
Y1 0.000 0.000 0.101 1
Y2 0.000 0.000 0.302 1
Er1 0.000 0.500 0.000 1
Er2 0.000 0.500 0.202 1
Er3 0.000 0.500 0.404 1
Er4 0.500 0.500 0.101 1
Er5 0.500 0.500 0.303 1
Er6 0.500 0.500 0.500 1
Sc1 0.000 0.000 0.500 1
```

Starting from a PBE-relaxed structure, the powder diffraction line list of Y2Er3Sc was simulated for Cu Kα (weighted mean of Kα1 and Kα2).
Lines closer than 0.1° are merged.

Peak list (10 most intense, 10° ≤ 2θ ≤ 90°, low angle first)
Position (°2θ), I (rel.), (hkl)
15.72, 30, 0 0 6
30.49, 100, 1 1 3
31.74, 43, 0 0 12
33.52, 95, 1 1 6
38.10, 55, 1 1 9
50.40, 25, 1 1 15
52.17, 31, 3 0 0
57.69, 20, 1 1 18
62.37, 36, 3 0 12
89.17, 24, 3 0 24

```
data_Y2Er3Sc
_chemical_formula_sum 'Y12 Er18 Sc6'
_symmetry_space_group_name_H-M 'R -3 c'
_symmetry_Int_Tables_number 167
_symmetry_space_group_name_Hall '-R 3 2"c'
_cell_length_a 6.0733
_cell_length_b 6.0733
_cell_length_c 33.8286
_cell_angle_alpha 90.00
_cell_angle_beta 90.00
_cell_angle_gamma 120.00
loop_
_atom_site_label
_atom_site_fract_x
_atom_site_fract_y
_atom_site_fract_z
_atom_site_occupancy
Y1 0.0000 0.0000 0.1671 1
Er1 0.0000 0.3382 0.2500 1
Sc1 0.0000 0.0000 0.0000 1
```

Starting from a PBE-relaxed structure, the powder diffraction line list of YEr12Sc2 was simulated for Cu Kα (weighted mean of Kα1 and Kα2).
Lines closer than 0.1° are merged.

Peak list (10 most intense, 10° ≤ 2θ ≤ 90°, low angle first)
Position (°2θ), I (rel.), (hkl)
30.53, 22, 1 9 0
31.15, 20, 0 16 0
31.70, 25, 0 14 1
32.36, 50, 0 0 2
32.80, 100, 1 7 1
34.66, 38, 1 9 1
35.21, 25, 0 16 1
45.09, 16, 1 9 2
58.00, 20, 1 7 3
61.80, 16, 2 0 2

```
data_YEr12Sc2
_chemical_formula_sum 'Y2 Er24 Sc4'
_symmetry_space_group_name_H-M 'C m m m'
_symmetry_Int_Tables_number 65
_symmetry_space_group_name_Hall '-C 2 2'
_cell_length_a 3.574
_cell_length_b 45.939
_cell_length_c 5.534
_cell_angle_alpha 90.00
_cell_angle_beta 90.00
_cell_angle_gamma 90.00
loop_
_atom_site_label
_atom_site_fract_x
_atom_site_fract_y
_atom_site_fract_z
_atom_site_occupancy
Y1 0.000 0.000 0.000 1
Er1 0.000 0.097 0.500 1
Er2 0.000 0.221 0.500 1
Er3 0.000 0.290 0.000 1
Er4 0.000 0.340 0.500 1
Er5 0.000 0.424 0.000 1
Er6 0.000 0.466 0.500 1
Sc1 0.000 0.142 0.000 1
```

Repeat the fifth record exactly.
Starting from a PBE-relaxed structure, the powder diffraction line list of Er3Tm8Sc2 was simulated for Cu Kα (weighted mean of Kα1 and Kα2).
Lines closer than 0.1° are merged.

Peak list (10 most intense, 10° ≤ 2θ ≤ 90°, low angle first)
Position (°2θ), I (rel.), (hkl)
18.34, 11, 0 4 0
25.41, 14, 2 2 0
28.79, 17, 2 0 1
30.27, 16, 2 2 1
30.68, 36, 1 5 1
32.21, 25, 0 6 1
32.67, 45, 0 0 2
34.35, 100, 2 4 1
59.38, 26, 2 4 3
69.16, 12, 5 5 1

```
data_Er3Tm8Sc2
_chemical_formula_sum 'Er6 Tm16 Sc4'
_symmetry_space_group_name_H-M 'C m m m'
_symmetry_Int_Tables_number 65
_symmetry_space_group_name_Hall '-C 2 2'
_cell_length_a 7.521
_cell_length_b 19.345
_cell_length_c 5.482
_cell_angle_alpha 90.00
_cell_angle_beta 90.00
_cell_angle_gamma 90.00
loop_
_atom_site_label
_atom_site_fract_x
_atom_site_fract_y
_atom_site_fract_z
_atom_site_occupancy
Er1 0.000 0.000 0.000 1
Er2 0.215 0.500 0.500 1
Tm1 0.000 0.135 0.500 1
Tm2 0.000 0.325 0.500 1
Tm3 0.211 0.388 0.000 1
Sc1 0.000 0.241 0.000 1
```